TeW3O12: calculated powder diffractogram (Cu Kα, 1.54184 Å), based on a DFT-relaxed cell (PBE+U, Alexandria).
Neutral-atom scattering factors, no anomalous dispersion.

Cell and atoms:
Unit cell a=5.2722 b=5.3944 c=7.5218 alpha=88.39 beta=89.98 gamma=89.98
Space group P1 (No. 1)
Unique sites:
Te 0.0000 0.0000 0.0000 (multiplicity 1)
W 0.9997 0.0092 0.5000 (multiplicity 1)
W 0.5003 0.4999 0.0014 (multiplicity 1)
W 0.5015 0.5091 0.5015 (multiplicity 1)
O 0.0893 0.0000 0.7508 (multiplicity 1)
O 0.2103 0.7118 0.0451 (multiplicity 1)
O 0.2157 0.2871 0.4613 (multiplicity 1)
O 0.2850 0.7875 0.4608 (multiplicity 1)
O 0.2883 0.2112 0.0453 (multiplicity 1)
O 0.4217 0.5013 0.7507 (multiplicity 1)
O 0.5785 0.5000 0.2501 (multiplicity 1)
O 0.7119 0.7889 0.9548 (multiplicity 1)
O 0.7138 0.2153 0.5397 (multiplicity 1)
O 0.7868 0.7159 0.5390 (multiplicity 1)
O 0.7898 0.2885 0.9553 (multiplicity 1)
O 0.9111 0.0010 0.2494 (multiplicity 1)

Top 10 peaks for 2θ from 10° to 90°, sorted by position:
- (1 1 0), 2θ 23.62, d = 3.766 Å, I 100
- (1 1 2), 2θ 33.27, d = 2.693 Å, I 20
- (-1 1 2), 2θ 33.34, d = 2.688 Å, I 10
- (1 -1 2), 2θ 34.01, d = 2.636 Å, I 26
- (2 0 2), 2θ 41.83, d = 2.160 Å, I 12
- (2 2 0), 2θ 48.28, d = 1.885 Å, I 12
- (2 2 2), 2θ 53.92, d = 1.700 Å, I 11
- (-2 2 2), 2θ 54.06, d = 1.696 Å, I 11
- (2 -2 2), 2θ 54.95, d = 1.671 Å, I 15
- (3 1 2), 2θ 60.46, d = 1.531 Å, I 8